For Zn2AsOs, the PBE geometry in Alexandria gives the computed powder X-ray diffraction pattern in this record (Cu Kα, 1.54184 Å).
Neutral-atom scattering factors, no anomalous dispersion.

The 10 most intense peaks (15 to 90 degrees two-theta), sorted by position:
| Position (°2θ) | I (rel.) |
| --- | --- |
| 20.59 | 15 |
| 36.59 | 10 |
| 38.59 | 100 |
| 41.87 | 26 |
| 45.85 | 61 |
| 64.52 | 22 |
| 69.14 | 17 |
| 77.77 | 13 |
| 79.93 | 23 |
| 82.72 | 11 |

Cell and atoms:
```
data_Zn2AsOs
_space_group_name_H-M_alt 'R -3 m'
_space_group_IT_number 166
_space_group_name_Hall '-R 3 2"'
_cell_length_a 2.8886
_cell_length_b 2.8886
_cell_length_c 25.8881
_cell_angle_alpha 90.00
_cell_angle_beta 90.00
_cell_angle_gamma 120.00
loop_
_atom_site_label
_atom_site_fract_x
_atom_site_fract_y
_atom_site_fract_z
Zn1 0.0000 0.0000 0.2465
As1 0.0000 0.0000 0.0000
Os1 0.0000 0.0000 0.5000
```